KAgF3: simulated powder X-ray diffraction pattern (Cu Kα X-rays), based on the GGA-PBE geometry in the Materials Project.

Most intense lines, 10 to 90 degrees two-theta, sorted by position:
- 2θ = 20.2°, intensity 55
- 2θ = 28.7°, intensity 100
- 2θ = 41.0°, intensity 46
- 2θ = 46.2°, intensity 25
- 2θ = 50.9°, intensity 39
- 2θ = 59.4°, intensity 27
- 2θ = 63.5°, intensity 11
- 2θ = 67.3°, intensity 16
- 2θ = 74.8°, intensity 8
- 2θ = 82.0°, intensity 19

Structure:
Unit cell a=4.398 b=4.398 c=4.398 alpha=90.00 beta=90.00 gamma=90.00
Space group Pm-3m (No. 221)
Unique sites:
1 K 0.000 0.000 0.000 (multiplicity 1)
2 Ag 0.500 0.500 0.500 (multiplicity 1)
3 F 0.000 0.500 0.500 (multiplicity 3)

K2NbAgF6: simulated powder X-ray diffraction pattern (Cu Kα X-rays), based on the GGA-PBE geometry in the Materials Project.

Most intense lines, 10 to 90 degrees two-theta, sorted by position:
- 2θ = 19.6°, intensity 52
- 2θ = 27.9°, intensity 100
- 2θ = 39.9°, intensity 47
- 2θ = 44.9°, intensity 23
- 2θ = 49.4°, intensity 38
- 2θ = 57.7°, intensity 28
- 2θ = 61.6°, intensity 10
- 2θ = 65.3°, intensity 17
- 2θ = 72.5°, intensity 9
- 2θ = 79.3°, intensity 19

Structure:
Unit cell a=9.038 b=9.038 c=9.038 alpha=90.00 beta=90.00 gamma=90.00
Space group Fm-3m (No. 225)
Unique sites:
1 K 0.250 0.250 0.250 (multiplicity 8)
2 Nb 0.000 0.000 0.000 (multiplicity 4)
3 Ag 0.000 0.000 0.500 (multiplicity 4)
4 F 0.000 0.000 0.233 (multiplicity 24)

K2AgRhF6: simulated powder X-ray diffraction pattern (Cu Kα X-rays), based on the GGA-PBE geometry in the Materials Project.

Most intense lines, 10 to 90 degrees two-theta, sorted by position:
- 2θ = 20.3°, intensity 54
- 2θ = 28.8°, intensity 100
- 2θ = 41.2°, intensity 45
- 2θ = 46.4°, intensity 23
- 2θ = 51.1°, intensity 38
- 2θ = 59.7°, intensity 26
- 2θ = 63.8°, intensity 11
- 2θ = 67.7°, intensity 17
- 2θ = 75.2°, intensity 8
- 2θ = 82.4°, intensity 19

Structure:
Unit cell a=8.755 b=8.755 c=8.755 alpha=90.00 beta=90.00 gamma=90.00
Space group Fm-3m (No. 225)
Unique sites:
1 K 0.250 0.250 0.250 (multiplicity 8)
2 Ag 0.000 0.000 0.000 (multiplicity 4)
3 Rh 0.000 0.000 0.500 (multiplicity 4)
4 F 0.000 0.000 0.269 (multiplicity 24)